Theoretical X-ray powder pattern of HfNbO4 for Cu Kα (weighted mean of Kα1 and Kα2), from DFT lattice parameters and positions (GGA-PBE).
Kinematic intensities with the Lorentz-polarization factor, no thermal factor.

Crystal structure
Unit cell a=6.304 b=6.304 c=5.115 alpha=112.06 beta=112.06 gamma=112.88
Fractional positions:
Hf 0.118 0.882 0.750
Hf 0.882 0.118 0.250
Nb 0.355 0.645 0.250
Nb 0.645 0.355 0.750
O 0.048 0.488 0.754
O 0.186 0.258 0.145
O 0.258 0.186 0.645
O 0.488 0.048 0.254
O 0.512 0.952 0.746
O 0.742 0.814 0.355
O 0.814 0.742 0.855
O 0.952 0.512 0.246

The 8 most intense peaks (2θ = 5–70°), in order of rising 2θ:
| two_theta | Rel. int. |
| --- | --- |
| 19.31 | 28 |
| 29.25 | 100 |
| 30.79 | 87 |
| 34.13 | 21 |
| 35.14 | 39 |
| 48.52 | 21 |
| 49.80 | 55 |
| 58.63 | 15 |

Theoretical X-ray powder pattern of SrHfNbSnO6 for Cu Kα (weighted mean of Kα1 and Kα2), from DFT lattice parameters and positions (GGA-PBE).
Kinematic intensities with the Lorentz-polarization factor, no thermal factor.

Crystal structure
Unit cell a=5.823 b=5.823 c=5.823 alpha=60.00 beta=60.00 gamma=60.00
Fractional positions:
Sr 0.000 0.000 0.000
Hf 0.250 0.250 0.250
Nb 0.750 0.750 0.750
Sn 0.500 0.500 0.500
O 0.502 0.502 0.998
O 0.502 0.998 0.502
O 0.502 0.998 0.998
O 0.998 0.502 0.502
O 0.998 0.502 0.998
O 0.998 0.998 0.502

The 8 most intense peaks (2θ = 5–70°), in order of rising 2θ:
| two_theta | Rel. int. |
| --- | --- |
| 18.66 | 8 |
| 21.58 | 6 |
| 30.71 | 100 |
| 36.18 | 5 |
| 43.98 | 31 |
| 48.17 | 2 |
| 54.60 | 41 |
| 63.96 | 19 |

Theoretical X-ray powder pattern of Sr2HfNbO6 for Cu Kα (weighted mean of Kα1 and Kα2), from DFT lattice parameters and positions (GGA-PBE).
Kinematic intensities with the Lorentz-polarization factor, no thermal factor.

Crystal structure
Unit cell a=5.822 b=5.822 c=5.822 alpha=60.00 beta=60.00 gamma=60.00
Fractional positions:
Sr 0.250 0.250 0.250
Sr 0.750 0.750 0.750
Hf 0.000 0.000 0.000
Nb 0.500 0.500 0.500
O 0.252 0.252 0.748
O 0.252 0.748 0.252
O 0.252 0.748 0.748
O 0.748 0.252 0.252
O 0.748 0.252 0.748
O 0.748 0.748 0.252

The 8 most intense peaks (2θ = 5–70°), in order of rising 2θ:
| two_theta | Rel. int. |
| --- | --- |
| 18.67 | 8 |
| 21.59 | 12 |
| 30.72 | 100 |
| 36.19 | 5 |
| 43.99 | 32 |
| 49.51 | 5 |
| 54.61 | 40 |
| 63.97 | 19 |

Theoretical X-ray powder pattern of HfNbP for Cu Kα (weighted mean of Kα1 and Kα2), from DFT lattice parameters and positions (GGA-PBE).
Kinematic intensities with the Lorentz-polarization factor, no thermal factor.

Crystal structure
Unit cell a=6.889 b=3.541 c=8.322 alpha=90.00 beta=90.00 gamma=90.00
Fractional positions:
Hf 0.033 0.250 0.168
Hf 0.467 0.750 0.668
Hf 0.533 0.250 0.332
Hf 0.967 0.750 0.832
Nb 0.142 0.250 0.560
Nb 0.358 0.750 0.060
Nb 0.642 0.250 0.940
Nb 0.858 0.750 0.440
P 0.237 0.750 0.356
P 0.263 0.250 0.856
P 0.737 0.750 0.144
P 0.763 0.250 0.644

The 8 most intense peaks (2θ = 5–70°), in order of rising 2θ:
| two_theta | Rel. int. |
| --- | --- |
| 27.37 | 23 |
| 34.87 | 56 |
| 35.76 | 100 |
| 36.39 | 33 |
| 38.02 | 67 |
| 40.76 | 22 |
| 51.64 | 28 |
| 63.82 | 19 |

Theoretical X-ray powder pattern of HfNbSi for Cu Kα (weighted mean of Kα1 and Kα2), from DFT lattice parameters and positions (GGA-PBE).
Kinematic intensities with the Lorentz-polarization factor, no thermal factor.

Crystal structure
Unit cell a=8.376 b=5.449 c=5.449 alpha=60.85 beta=90.00 gamma=90.00
Fractional positions:
Hf 0.188 0.000 0.000
Hf 0.302 0.331 0.331
Hf 0.698 0.331 0.331
Hf 0.812 0.000 0.000
Nb 0.226 0.663 0.663
Nb 0.500 0.325 0.831
Nb 0.500 0.831 0.325
Nb 0.774 0.663 0.663
Si 0.000 0.034 0.475
Si 0.000 0.475 0.034
Si 0.000 0.477 0.477
Si 0.500 0.829 0.829

The 8 most intense peaks (2θ = 5–70°), in order of rising 2θ:
| two_theta | Rel. int. |
| --- | --- |
| 21.21 | 23 |
| 32.45 | 26 |
| 32.88 | 71 |
| 37.34 | 50 |
| 37.47 | 38 |
| 39.09 | 50 |
| 39.43 | 100 |
| 68.50 | 19 |

Theoretical X-ray powder pattern of HfZrNb2 for Cu Kα (weighted mean of Kα1 and Kα2), from DFT lattice parameters and positions (GGA-PBE).
Kinematic intensities with the Lorentz-polarization factor, no thermal factor.

Crystal structure
Unit cell a=3.017 b=3.017 c=9.746 alpha=90.00 beta=90.00 gamma=112.26
Fractional positions:
Hf 0.000 0.000 0.000
Zr 0.500 0.500 0.287
Nb 0.000 0.000 0.535
Nb 0.500 0.500 0.758

The 8 most intense peaks (2θ = 5–70°), in order of rising 2θ:
| two_theta | Rel. int. |
| --- | --- |
| 9.07 | 14 |
| 35.84 | 28 |
| 36.89 | 22 |
| 37.11 | 100 |
| 52.38 | 16 |
| 65.24 | 19 |
| 66.60 | 12 |
| 67.03 | 9 |

Theoretical X-ray powder pattern of Nd3Hf for Cu Kα (weighted mean of Kα1 and Kα2), from DFT lattice parameters and positions (GGA-PBE).
Kinematic intensities with the Lorentz-polarization factor, no thermal factor.

Crystal structure
Unit cell a=6.098 b=6.098 c=6.098 alpha=131.50 beta=131.50 gamma=71.01
Fractional positions:
Nd 0.000 0.000 0.000
Nd 0.250 0.750 0.500
Nd 0.750 0.250 0.500
Hf 0.500 0.500 0.000

The 8 most intense peaks (2θ = 5–70°), in order of rising 2θ:
| two_theta | Rel. int. |
| --- | --- |
| 31.02 | 100 |
| 35.86 | 34 |
| 36.19 | 17 |
| 51.62 | 12 |
| 51.87 | 24 |
| 61.45 | 29 |
| 61.90 | 14 |
| 64.66 | 12 |

Theoretical X-ray powder pattern of NdHf for Cu Kα (weighted mean of Kα1 and Kα2), from DFT lattice parameters and positions (GGA-PBE).
Kinematic intensities with the Lorentz-polarization factor, no thermal factor.

Crystal structure
Unit cell a=3.383 b=3.383 c=5.592 alpha=90.00 beta=90.00 gamma=120.00
Fractional positions:
Nd 0.000 0.000 0.000
Hf 0.333 0.667 0.500

The 8 most intense peaks (2θ = 5–70°), in order of rising 2θ:
| two_theta | Rel. int. |
| --- | --- |
| 30.52 | 24 |
| 32.01 | 27 |
| 34.56 | 100 |
| 44.81 | 17 |
| 54.23 | 18 |
| 58.71 | 22 |
| 64.38 | 22 |
| 65.92 | 15 |

Theoretical X-ray powder pattern of Nd3Hf for Cu Kα (weighted mean of Kα1 and Kα2), from DFT lattice parameters and positions (GGA-PBE).
Kinematic intensities with the Lorentz-polarization factor, no thermal factor.

Crystal structure
Unit cell a=5.001 b=5.001 c=5.001 alpha=90.00 beta=90.00 gamma=90.00
Fractional positions:
Nd 0.000 0.000 0.500
Nd 0.000 0.500 0.000
Nd 0.500 0.000 0.000
Hf 0.500 0.500 0.500

The 7 most intense peaks (2θ = 5–70°), in order of rising 2θ:
| two_theta | Rel. int. |
| --- | --- |
| 17.74 | 1 |
| 25.19 | 1 |
| 30.97 | 100 |
| 35.92 | 51 |
| 51.70 | 36 |
| 61.50 | 43 |
| 64.56 | 12 |

Theoretical X-ray powder pattern of Nd2Hf2O7 for Cu Kα (weighted mean of Kα1 and Kα2), from DFT lattice parameters and positions (GGA-PBE).
Kinematic intensities with the Lorentz-polarization factor, no thermal factor.

Crystal structure
Unit cell a=7.570 b=7.570 c=7.570 alpha=60.00 beta=60.00 gamma=60.00
Fractional positions:
Nd 0.000 0.000 0.000
Nd 0.000 0.000 0.500
Nd 0.000 0.500 0.000
Nd 0.500 0.000 0.000
Hf 0.000 0.500 0.500
Hf 0.500 0.000 0.500
Hf 0.500 0.500 0.000
Hf 0.500 0.500 0.500
O 0.125 0.125 0.125
O 0.167 0.167 0.583
O 0.167 0.583 0.167
O 0.167 0.583 0.583
O 0.417 0.417 0.833
O 0.417 0.833 0.417
O 0.417 0.833 0.833
O 0.583 0.167 0.167
O 0.583 0.167 0.583
O 0.583 0.583 0.167
O 0.833 0.417 0.417
O 0.833 0.417 0.833
O 0.833 0.833 0.417
O 0.875 0.875 0.875

The 8 most intense peaks (2θ = 5–70°), in order of rising 2θ:
| two_theta | Rel. int. |
| --- | --- |
| 14.33 | 2 |
| 27.64 | 2 |
| 28.89 | 100 |
| 33.48 | 36 |
| 43.95 | 1 |
| 48.08 | 46 |
| 57.07 | 45 |
| 59.86 | 11 |